1.
Simulated powder diffraction line list of Tb3CeDy12 for Cu Kα, 1.54184 Å, from DFT lattice parameters and positions (GGA-PBE).
Neutral-atom scattering factors, no anomalous dispersion.

Principal peaks in the range 5 to 70 degrees two-theta, sorted by position:
| Position (°2θ) | I (rel.) |
| --- | --- |
| 30.90 | 100 |
| 35.83 | 51 |
| 51.57 | 36 |
| 61.33 | 43 |
| 64.38 | 12 |

Atomic structure:
```
Tb3CeDy12
1.0
5.014 0.000 0.000
0.000 5.014 0.000
0.000 0.000 20.041
Tb Ce Dy
3 1 12
Direct
0.000 0.000 0.000
0.000 0.000 0.251
0.000 0.000 0.749
0.000 0.000 0.500
0.000 0.500 0.125
0.000 0.500 0.376
0.000 0.500 0.624
0.000 0.500 0.875
0.500 0.000 0.125
0.500 0.000 0.376
0.500 0.000 0.624
0.500 0.000 0.875
0.500 0.500 0.000
0.500 0.500 0.249
0.500 0.500 0.500
0.500 0.500 0.751
```

---

2.
Simulated powder diffraction line list of Ca3GaHg2 for Cu Kα, 1.54184 Å, from DFT lattice parameters and positions (GGA-PBE).
Neutral-atom scattering factors, no anomalous dispersion.

Principal peaks in the range 5 to 70 degrees two-theta, sorted by position:
| Position (°2θ) | I (rel.) |
| --- | --- |
| 11.50 | 12 |
| 23.12 | 20 |
| 23.95 | 37 |
| 33.53 | 100 |
| 34.13 | 48 |
| 41.63 | 19 |
| 47.25 | 9 |
| 49.04 | 17 |
| 59.56 | 19 |
| 60.71 | 35 |

Atomic structure:
```
Ca3GaHg2
1.0
2.627 -7.882 0.000
2.627 7.882 0.000
0.000 0.000 7.696
Ca Ga Hg
6 2 4
Direct
0.000 0.000 0.247
0.000 0.000 0.753
0.333 0.667 0.246
0.333 0.667 0.754
0.667 0.333 0.246
0.667 0.333 0.754
0.170 0.830 0.000
0.830 0.170 0.000
0.167 0.833 0.500
0.500 0.500 0.000
0.500 0.500 0.500
0.833 0.167 0.500
```

---

3.
Simulated powder diffraction line list of Ba3Y2I12 for Cu Kα, 1.54184 Å, from DFT lattice parameters and positions (GGA-PBE).
Neutral-atom scattering factors, no anomalous dispersion.

Principal peaks in the range 5 to 70 degrees two-theta, sorted by position:
| Position (°2θ) | I (rel.) |
| --- | --- |
| 26.87 | 50 |
| 27.76 | 94 |
| 28.58 | 36 |
| 29.31 | 50 |
| 30.86 | 100 |
| 33.06 | 51 |
| 45.21 | 22 |
| 51.58 | 21 |
| 53.89 | 28 |
| 54.02 | 22 |

Atomic structure:
```
Ba3Y2I12
1.0
13.249 0.000 0.000
0.000 13.249 0.000
0.000 0.000 8.022
Ba Y I
6 4 24
Direct
0.000 0.000 0.000
0.188 0.312 0.500
0.312 0.812 0.500
0.500 0.500 0.000
0.688 0.188 0.500
0.812 0.688 0.500
0.137 0.637 0.000
0.363 0.137 0.000
0.637 0.863 0.000
0.863 0.363 0.000
0.000 0.500 0.239
0.000 0.500 0.761
0.057 0.788 0.266
0.057 0.788 0.734
0.196 0.304 0.000
0.212 0.057 0.266
0.212 0.057 0.734
0.288 0.557 0.266
0.288 0.557 0.734
0.304 0.804 0.000
0.443 0.288 0.266
0.443 0.288 0.734
0.500 0.000 0.239
0.500 0.000 0.761
0.557 0.712 0.266
0.557 0.712 0.734
0.696 0.196 0.000
0.712 0.443 0.266
0.712 0.443 0.734
0.788 0.943 0.266
0.788 0.943 0.734
0.804 0.696 0.000
0.943 0.212 0.266
0.943 0.212 0.734
```

---

4.
Simulated powder diffraction line list of Pr6S5 for Cu Kα, 1.54184 Å, from DFT lattice parameters and positions (GGA-PBE).
Neutral-atom scattering factors, no anomalous dispersion.

Principal peaks in the range 5 to 70 degrees two-theta, sorted by position:
| Position (°2θ) | I (rel.) |
| --- | --- |
| 26.60 | 22 |
| 26.72 | 64 |
| 30.92 | 100 |
| 44.21 | 37 |
| 44.33 | 24 |
| 44.45 | 12 |
| 52.34 | 11 |
| 52.45 | 17 |
| 52.58 | 14 |
| 55.10 | 12 |

Atomic structure:
```
Pr6S5
1.0
3.553 -6.114 0.000
3.553 6.114 0.000
-2.355 0.000 6.682
Pr S
6 5
Direct
0.077 0.417 0.747
0.246 0.246 0.258
0.417 0.077 0.747
0.583 0.923 0.253
0.754 0.754 0.742
0.923 0.583 0.253
0.000 0.000 0.500
0.166 0.834 0.000
0.333 0.667 0.500
0.667 0.333 0.500
0.834 0.166 0.000
```